# NiH14C10N8O2
Theoretical powder diffractogram, Cu Ka. Input: a cell relaxed with GGA+U.

Atomic structure:
```
data_NiH14C10N8O2
_chemical_formula_sum 'Ni1 H14 C10 N8 O2'
_space_group_name_H-M_alt 'P 1'
_space_group_IT_number 1
_cell_length_a 7.9242
_cell_length_b 7.9242
_cell_length_c 8.1441
_cell_angle_alpha 108.97
_cell_angle_beta 108.97
_cell_angle_gamma 56.48
loop_
_space_group_symop_operation_xyz
'x,y,z'
loop_
_atom_site_label
_atom_site_fract_x
_atom_site_fract_y
_atom_site_fract_z
Ni1 0.0000 0.0000 0.0000
H1 0.0966 0.3337 0.7273
H2 0.1067 0.1067 0.5778
H3 0.2244 0.2244 0.2493
H4 0.2618 0.5000 0.6525
H5 0.3337 0.0966 0.7273
H6 0.3738 0.3738 0.4579
H7 0.5000 0.2618 0.6525
H8 0.5000 0.7382 0.3475
H9 0.6262 0.6262 0.5421
H10 0.6663 0.9034 0.2727
H11 0.7382 0.5000 0.3475
H12 0.7756 0.7756 0.7507
H13 0.8933 0.8933 0.4222
H14 0.9034 0.6663 0.2727
C1 0.1799 0.1799 0.3365
C2 0.1907 0.1907 0.6427
C3 0.2406 0.5462 0.0794
C4 0.3496 0.3496 0.5716
C5 0.4538 0.7594 0.9206
C6 0.5462 0.2406 0.0794
C7 0.6504 0.6504 0.4284
C8 0.7594 0.4538 0.9206
C9 0.8093 0.8093 0.3573
C10 0.8201 0.8201 0.6635
N1 0.1070 0.7030 0.0344
N2 0.2374 0.2374 0.5095
N3 0.2970 0.8930 0.9656
N4 0.3776 0.3776 0.1398
N5 0.6224 0.6224 0.8602
N6 0.7030 0.1070 0.0344
N7 0.7626 0.7626 0.4905
N8 0.8930 0.2970 0.9656
O1 0.0830 0.0830 0.2751
O2 0.9170 0.9170 0.7249
```

Top 10 peaks for 10 to 80 degrees two-theta, in order of rising 2θ:
| 2θ (°) | Rel. int. |
| --- | --- |
| 11.69 | 61 |
| 13.64 | 64 |
| 14.33 | 100 |
| 16.26 | 35 |
| 21.07 | 56 |
| 22.87 | 79 |
| 23.51 | 25 |
| 23.73 | 62 |
| 27.63 | 28 |
| 27.83 | 35 |